Starting from a crystal structure in the Materials Project, relaxed with PBE+U, the X-ray diffraction stick pattern of LiMn4P3O12 was calculated for Cu Kα, 1.54184 Å.

Most intense lines, 5 to 70 degrees two-theta, by angle:
- 2θ = 20.5°, rel. 19, (1 1 2)
- 2θ = 26.3°, rel. 17, (1 0 3)
- 2θ = 29.5°, rel. 19, (2 1 1)
- 2θ = 32.0°, rel. 100, (0 2 -1)
- 2θ = 53.4°, rel. 18, (2 2 -2)
- 2θ = 53.5°, rel. 17, (4 0 2)

Structural model:
a = 6.848 Å, b = 6.851 Å, c = 10.864 Å
α = 71.69°, β = 71.64°, γ = 90.00°
Fractional coordinates of all 40 atoms:
Li (0.000, 0.000, 0.000)
Li (0.246, 0.750, 0.499)
Mn (0.117, 0.138, 0.251)
Mn (0.263, 0.267, 0.462)
Mn (0.379, 0.873, 0.752)
Mn (0.513, 0.018, 0.964)
Mn (0.618, 0.612, 0.252)
Mn (0.724, 0.728, 0.541)
Mn (0.854, 0.373, 0.752)
Mn (0.974, 0.481, 0.040)
P (0.118, 0.724, 0.252)
P (0.268, 0.374, 0.751)
P (0.492, 0.499, 0.002)
P (0.618, 0.026, 0.252)
P (0.743, 0.248, 0.502)
P (0.964, 0.874, 0.753)
O (0.023, 0.803, 0.379)
O (0.043, 0.780, 0.879)
O (0.063, 0.344, 0.877)
O (0.167, 0.969, 0.626)
O (0.191, 0.403, 0.624)
O (0.212, 0.927, 0.125)
O (0.263, 0.406, 0.085)
O (0.282, 0.586, 0.292)
O (0.365, 0.169, 0.793)
O (0.406, 0.578, 0.711)
O (0.415, 0.125, 0.291)
O (0.480, 0.728, 0.920)
O (0.585, 0.353, 0.919)
O (0.587, 0.823, 0.379)
O (0.598, 0.342, 0.418)
O (0.638, 0.510, 0.085)
O (0.648, 0.019, 0.585)
O (0.649, 0.946, 0.126)
O (0.752, 0.394, 0.585)
O (0.823, 0.165, 0.211)
O (0.824, 0.037, 0.793)
O (0.864, 0.709, 0.714)
O (0.953, 0.623, 0.214)
O (0.972, 0.236, 0.420)